For Na3FeF6, a GGA+U-relaxed structure gives the computed powder X-ray diffraction pattern in this record (copper Kα).
No peak broadening, texture or thermal motion is included.

The 8 most intense peaks (10 to 80 degrees two-theta), most intense first:
22.1 deg, intensity 1000; 18.8 deg, intensity 853; 31.3 deg, intensity 835; 31.5 deg, intensity 763; 45.1 deg, intensity 748; 56.7 deg, intensity 410; 19.4 deg, intensity 404; 44.9 deg, intensity 383

```
data_Na3FeF6
_chemical_formula_sum 'Na6 Fe2 F12'
_cell_length_a 5.569
_cell_length_b 5.808
_cell_length_c 9.773
_cell_angle_alpha 90.00
_cell_angle_beta 124.32
_cell_angle_gamma 90.00
_space_group_name_H-M_alt 'P 1 21/c 1'
_space_group_IT_number 14
loop_
_space_group_symop_operation_xyz
'x,y,z'
'-x,-y,-z'
'-x,y+1/2,-z+1/2'
'x,-y+1/2,z+1/2'
loop_
_atom_site_label
_atom_site_type_symbol
_atom_site_fract_x
_atom_site_fract_y
_atom_site_fract_z
Na1 Na 0.000 0.000 0.000
Na2 Na 0.227 0.057 0.744
Fe1 Fe 0.500 0.000 0.500
F1 F 0.160 0.178 0.447
F2 F 0.258 0.721 0.426
F3 F 0.394 0.059 0.274
```